Starting from a structure optimized by DFT (PBE), the powder X-ray diffraction pattern of Er2Sn3Pb3S12 was calculated for copper Kα.
Lines closer than 0.1° are merged.

Structure:
Cell lengths 3.945, 20.345, 11.631 Å; angles 90.00, 90.00, 90.00 degrees
Space group Pmc2_1 (No. 26)
Inequivalent atoms, fractional coordinates:
Er  0.000  0.088  0.000 x2
Er  0.000  0.395  0.675 x2
Sn  0.500  0.075  0.344 x2
Sn  0.500  0.251  0.851 x2
Sn  0.500  0.412  0.369 x2
Pb  0.000  0.122  0.621 x2
Pb  0.000  0.242  0.254 x2
Pb  0.000  0.414  0.047 x2
S  0.000  0.010  0.286 x2
S  0.000  0.242  0.996 x2
S  0.000  0.258  0.699 x2
S  0.000  0.342  0.452 x2
S  0.000  0.484  0.290 x2
S  0.500  0.009  0.533 x2
S  0.500  0.126  0.838 x2
S  0.500  0.141  0.153 x2
S  0.500  0.179  0.452 x2
S  0.500  0.343  0.187 x2
S  0.500  0.376  0.839 x2
S  0.500  0.468  0.565 x2

The 8 most intense peaks (10 to 80 degrees two-theta), in order of falling intensity:
- 27.3 deg, I 100, (1 0 2)
- 32.6 deg, I 57, (1 4 2)
- 26.5 deg, I 47, (0 3 3)
- 23.2 deg, I 34, (0 4 2)
- 26.3 deg, I 29, (0 6 0)
- 32.7 deg, I 28, (1 1 3)
- 38.3 deg, I 27, (1 6 2)
- 46.0 deg, I 24, (2 0 0)

Starting from a structure optimized by DFT (PBE), the powder X-ray diffraction pattern of Er2PbSe4 was calculated for copper Kα.
Lines closer than 0.1° are merged.

Structure:
Cell lengths 12.567, 4.112, 14.943 Å; angles 90.00, 90.00, 90.00 degrees
Space group Pnma (No. 62)
Inequivalent atoms, fractional coordinates:
Er  0.061  0.250  0.110 x4
Er  0.082  0.250  0.597 x4
Pb  0.236  0.250  0.330 x4
Se  0.024  0.750  0.714 x4
Se  0.090  0.250  0.923 x4
Se  0.130  0.750  0.470 x4
Se  0.207  0.750  0.170 x4

The 8 most intense peaks (10 to 80 degrees two-theta), in order of falling intensity:
- 29.0 deg, I 100, (1 1 3)
- 24.4 deg, I 82, (3 0 2)
- 35.5 deg, I 82, (2 1 4)
- 44.0 deg, I 51, (0 2 0)
- 38.9 deg, I 42, (2 0 6)
- 25.7 deg, I 39, (1 1 2)
- 36.5 deg, I 39, (4 1 1)
- 31.1 deg, I 38, (3 1 1)